No. 1
Diffraction record for CuIBr4. The powder diffractogram is computed, not measured: it uses the GGA-PBE geometry in Alexandria and Cu Kα (weighted mean of Kα1 and Kα2).

Cell and atoms:
```
CuIBr4
1.0
3.421 -6.312 0.000
3.421 6.312 0.000
0.000 0.000 12.436
Cu I Br
2 2 8
Direct
0.250 0.750 0.750 Cu
0.750 0.250 0.250 Cu
0.250 0.250 0.000 I
0.750 0.750 0.500 I
0.086 0.397 0.841 Br
0.103 0.416 0.158 Br
0.397 0.086 0.159 Br
0.416 0.103 0.842 Br
0.584 0.897 0.342 Br
0.603 0.914 0.659 Br
0.897 0.584 0.658 Br
0.914 0.603 0.341 Br
```

Top 10 peaks for 2θ = 5–70°, by angle:
- 2θ = 16.4°, d = 5.416 Å, intensity 100
- 2θ = 20.0°, d = 4.430 Å, intensity 35
- 2θ = 26.1°, d = 3.420 Å, intensity 27
- 2θ = 33.0°, d = 2.711 Å, intensity 69
- 2θ = 40.7°, d = 2.215 Å, intensity 11
- 2θ = 41.5°, d = 2.174 Å, intensity 14
- 2θ = 41.8°, d = 2.162 Å, intensity 13
- 2θ = 50.6°, d = 1.805 Å, intensity 19
- 2θ = 51.0°, d = 1.792 Å, intensity 11
- 2θ = 51.6°, d = 1.773 Å, intensity 11

***

No. 2
Diffraction record for Cu5I3Br3. The powder diffractogram is computed, not measured: it uses the GGA-PBE geometry in Alexandria and Cu Kα (weighted mean of Kα1 and Kα2).

Cell and atoms:
```
Cu5I3Br3
1.0
4.131 0.000 0.000
0.000 12.403 0.000
0.000 0.000 6.014
Cu I Br
5 3 3
Direct
0.000 0.000 0.000 Cu
0.000 0.352 0.041 Cu
0.000 0.648 0.041 Cu
0.500 0.179 0.504 Cu
0.500 0.821 0.504 Cu
0.000 0.176 0.768 I
0.000 0.824 0.768 I
0.500 0.000 0.267 I
0.000 0.500 0.794 Br
0.500 0.334 0.263 Br
0.500 0.666 0.263 Br
```

Top 10 peaks for 2θ = 5–70°, by angle:
- 2θ = 7.1°, d = 12.403 Å, intensity 13
- 2θ = 20.6°, d = 4.317 Å, intensity 5
- 2θ = 26.2°, d = 3.406 Å, intensity 100
- 2θ = 30.6°, d = 2.922 Å, intensity 5
- 2θ = 43.2°, d = 2.096 Å, intensity 45
- 2θ = 43.8°, d = 2.066 Å, intensity 21
- 2θ = 50.6°, d = 1.804 Å, intensity 15
- 2θ = 51.7°, d = 1.767 Å, intensity 28
- 2θ = 63.7°, d = 1.461 Å, intensity 6
- 2θ = 69.1°, d = 1.359 Å, intensity 11

***

No. 3
Diffraction record for Cu2I3Br8. The powder diffractogram is computed, not measured: it uses the GGA-PBE geometry in Alexandria and Cu Kα (weighted mean of Kα1 and Kα2).

Cell and atoms:
```
Cu2I3Br8
1.0
7.316 -4.805 0.000
7.316 4.805 0.000
-5.241 0.000 18.427
Cu I Br
4 6 16
Direct
0.192 0.244 0.427 Cu
0.244 0.192 0.927 Cu
0.756 0.808 0.073 Cu
0.808 0.756 0.573 Cu
0.170 0.830 0.750 I
0.307 0.524 0.635 I
0.476 0.693 0.865 I
0.524 0.307 0.135 I
0.693 0.476 0.365 I
0.830 0.170 0.250 I
0.013 0.508 0.392 Br
0.022 0.120 0.855 Br
0.120 0.022 0.355 Br
0.197 0.412 0.020 Br
0.395 0.457 0.343 Br
0.412 0.197 0.520 Br
0.457 0.395 0.843 Br
0.492 0.987 0.108 Br
0.508 0.013 0.892 Br
0.543 0.605 0.157 Br
0.588 0.803 0.480 Br
0.605 0.543 0.657 Br
0.803 0.588 0.980 Br
0.880 0.978 0.645 Br
0.978 0.880 0.145 Br
0.987 0.492 0.608 Br
```

Top 10 peaks for 2θ = 5–70°, by angle:
- 2θ = 11.4°, d = 7.735 Å, intensity 31
- 2θ = 13.6°, d = 6.519 Å, intensity 100
- 2θ = 16.8°, d = 5.267 Å, intensity 19
- 2θ = 19.3°, d = 4.607 Å, intensity 14
- 2θ = 24.9°, d = 3.579 Å, intensity 13
- 2θ = 27.3°, d = 3.264 Å, intensity 19
- 2θ = 28.6°, d = 3.121 Å, intensity 28
- 2θ = 30.6°, d = 2.924 Å, intensity 12
- 2θ = 30.8°, d = 2.904 Å, intensity 14
- 2θ = 33.0°, d = 2.717 Å, intensity 17

***

No. 4
Diffraction record for K2CuIBr2. The powder diffractogram is computed, not measured: it uses the GGA-PBE geometry in Alexandria and Cu Kα (weighted mean of Kα1 and Kα2).

Cell and atoms:
```
K2CuIBr2
1.0
7.252 -4.752 0.000
7.252 4.752 0.000
0.000 0.000 6.934
K Cu I Br
4 2 2 4
Direct
0.004 0.324 0.000 K
0.324 0.004 0.500 K
0.676 0.996 0.000 K
0.996 0.676 0.500 K
0.331 0.669 0.931 Cu
0.669 0.331 0.431 Cu
0.409 0.591 0.572 I
0.591 0.409 0.072 I
0.041 0.681 0.010 Br
0.319 0.959 0.010 Br
0.681 0.041 0.510 Br
0.959 0.319 0.510 Br
```

Top 10 peaks for 2θ = 5–70°, by angle:
- 2θ = 11.1°, d = 7.950 Å, intensity 32
- 2θ = 12.2°, d = 7.252 Å, intensity 43
- 2θ = 17.0°, d = 5.226 Å, intensity 27
- 2θ = 20.6°, d = 4.309 Å, intensity 100
- 2θ = 25.7°, d = 3.467 Å, intensity 68
- 2θ = 31.7°, d = 2.826 Å, intensity 27
- 2θ = 33.2°, d = 2.701 Å, intensity 40
- 2θ = 33.8°, d = 2.650 Å, intensity 44
- 2θ = 43.0°, d = 2.105 Å, intensity 35
- 2θ = 47.6°, d = 1.910 Å, intensity 24

***

No. 5
Diffraction record for K2CuI2Br. The powder diffractogram is computed, not measured: it uses the GGA-PBE geometry in Alexandria and Cu Kα (weighted mean of Kα1 and Kα2).

Cell and atoms:
```
K2CuI2Br
1.0
8.033 -4.499 0.000
8.033 4.499 0.000
0.000 0.000 7.173
K Cu I Br
4 2 4 2
Direct
0.053 0.647 0.500 K
0.353 0.947 0.500 K
0.647 0.053 0.000 K
0.947 0.353 0.000 K
0.337 0.663 0.060 Cu
0.663 0.337 0.560 Cu
0.050 0.673 0.996 I
0.327 0.950 0.996 I
0.673 0.050 0.496 I
0.950 0.327 0.496 I
0.418 0.582 0.394 Br
0.582 0.418 0.894 Br
```

Top 10 peaks for 2θ = 5–70°, by angle:
- 2θ = 16.7°, d = 5.295 Å, intensity 100
- 2θ = 19.3°, d = 4.602 Å, intensity 95
- 2θ = 19.7°, d = 4.499 Å, intensity 56
- 2θ = 24.8°, d = 3.586 Å, intensity 94
- 2θ = 29.8°, d = 2.996 Å, intensity 39
- 2θ = 31.9°, d = 2.804 Å, intensity 42
- 2θ = 33.5°, d = 2.676 Å, intensity 58
- 2θ = 34.3°, d = 2.617 Å, intensity 51
- 2θ = 39.2°, d = 2.300 Å, intensity 38
- 2θ = 42.8°, d = 2.114 Å, intensity 56

***

No. 6
Diffraction record for NaCuIBr. The powder diffractogram is computed, not measured: it uses the GGA-PBE geometry in Alexandria and Cu Kα (weighted mean of Kα1 and Kα2).

Cell and atoms:
```
NaCuIBr
1.0
4.472 0.000 0.000
0.000 4.334 0.000
-0.057 0.000 6.611
Na Cu I Br
1 1 1 1
Direct
0.000 0.000 0.000 Na
0.507 0.500 0.467 Cu
0.010 0.500 0.672 I
0.504 0.000 0.261 Br
```

Top 10 peaks for 2θ = 5–70°, by angle:
- 2θ = 13.4°, d = 6.611 Å, intensity 45
- 2θ = 23.9°, d = 3.719 Å, intensity 44
- 2θ = 24.1°, d = 3.689 Å, intensity 44
- 2θ = 24.6°, d = 3.625 Å, intensity 100
- 2θ = 28.7°, d = 3.112 Å, intensity 16
- 2θ = 39.7°, d = 2.273 Å, intensity 37
- 2θ = 39.9°, d = 2.259 Å, intensity 37
- 2θ = 40.3°, d = 2.236 Å, intensity 22
- 2θ = 41.7°, d = 2.167 Å, intensity 20
- 2θ = 59.4°, d = 1.556 Å, intensity 16

***

No. 7
Diffraction record for RbCuIBr. The powder diffractogram is computed, not measured: it uses the GGA-PBE geometry in Alexandria and Cu Kα (weighted mean of Kα1 and Kα2).

Cell and atoms:
```
RbCuIBr
1.0
5.883 0.000 0.000
0.000 4.322 0.000
-1.526 0.000 6.756
Rb Cu I Br
1 1 1 1
Direct
0.000 0.000 0.000 Rb
0.730 0.500 0.344 Cu
0.495 0.500 0.991 I
0.869 0.000 0.487 Br
```

Top 10 peaks for 2θ = 5–70°, by angle:
- 2θ = 13.1°, d = 6.756 Å, intensity 36
- 2θ = 15.4°, d = 5.739 Å, intensity 35
- 2θ = 17.9°, d = 4.944 Å, intensity 51
- 2θ = 25.8°, d = 3.452 Å, intensity 100
- 2θ = 26.4°, d = 3.378 Å, intensity 49
- 2θ = 27.4°, d = 3.254 Å, intensity 47
- 2θ = 31.1°, d = 2.879 Å, intensity 35
- 2θ = 34.6°, d = 2.592 Å, intensity 28
- 2θ = 39.7°, d = 2.269 Å, intensity 51
- 2θ = 41.8°, d = 2.161 Å, intensity 23

***

No. 8
Diffraction record for RbCuIBr6. The powder diffractogram is computed, not measured: it uses the GGA-PBE geometry in Alexandria and Cu Kα (weighted mean of Kα1 and Kα2).

Cell and atoms:
```
RbCuIBr6
1.0
6.386 0.000 0.000
-1.960 6.359 0.000
-0.416 -0.468 9.345
Rb Cu I Br
1 1 1 6
Direct
0.000 0.000 0.000 Rb
0.633 0.337 0.772 Cu
0.550 0.639 0.434 I
0.224 0.560 0.235 Br
0.354 0.273 0.574 Br
0.479 0.983 0.838 Br
0.779 0.007 0.341 Br
0.812 0.452 0.005 Br
0.869 0.640 0.662 Br
```

Top 10 peaks for 2θ = 5–70°, by angle:
- 2θ = 14.5°, d = 6.092 Å, intensity 23
- 2θ = 16.9°, d = 5.242 Å, intensity 40
- 2θ = 17.3°, d = 5.135 Å, intensity 22
- 2θ = 19.4°, d = 4.587 Å, intensity 100
- 2θ = 25.4°, d = 3.502 Å, intensity 38
- 2θ = 29.0°, d = 3.079 Å, intensity 19
- 2θ = 29.3°, d = 3.053 Å, intensity 36
- 2θ = 30.4°, d = 2.941 Å, intensity 35
- 2θ = 33.0°, d = 2.711 Å, intensity 44
- 2θ = 39.5°, d = 2.282 Å, intensity 24

***

No. 9
Diffraction record for Tl2CuIBr6. The powder diffractogram is computed, not measured: it uses the GGA-PBE geometry in Alexandria and Cu Kα (weighted mean of Kα1 and Kα2).

Cell and atoms:
```
Tl2CuIBr6
1.0
7.309 0.000 0.000
3.024 7.335 0.000
3.437 -1.234 7.111
Tl Cu I Br
2 1 1 6
Direct
0.119 0.118 0.206 Tl
0.881 0.882 0.794 Tl
0.500 0.000 0.500 Cu
0.500 0.500 0.000 I
0.118 0.160 0.616 Br
0.400 0.780 0.798 Br
0.475 0.254 0.774 Br
0.525 0.746 0.226 Br
0.600 0.220 0.202 Br
0.882 0.840 0.384 Br
```

Top 10 peaks for 2θ = 5–70°, by angle:
- 2θ = 12.2°, d = 7.227 Å, intensity 100
- 2θ = 18.9°, d = 4.684 Å, intensity 34
- 2θ = 22.2°, d = 4.006 Å, intensity 61
- 2θ = 22.8°, d = 3.896 Å, intensity 69
- 2θ = 27.0°, d = 3.300 Å, intensity 37
- 2θ = 29.8°, d = 3.000 Å, intensity 59
- 2θ = 29.8°, d = 2.994 Å, intensity 42
- 2θ = 32.2°, d = 2.783 Å, intensity 83
- 2θ = 32.5°, d = 2.756 Å, intensity 60
- 2θ = 41.5°, d = 2.174 Å, intensity 34

***

No. 10
Diffraction record for TlCu2IBr2. The powder diffractogram is computed, not measured: it uses the GGA-PBE geometry in Alexandria and Cu Kα (weighted mean of Kα1 and Kα2).

Cell and atoms:
```
TlCu2IBr2
1.0
7.994 0.000 0.000
0.000 5.421 0.000
-3.037 0.000 8.309
Tl Cu I Br
2 4 2 4
Direct
0.180 0.250 0.384 Tl
0.820 0.750 0.616 Tl
0.391 0.501 0.850 Cu
0.391 0.999 0.850 Cu
0.609 0.001 0.150 Cu
0.609 0.499 0.150 Cu
0.307 0.750 0.074 I
0.693 0.250 0.926 I
0.108 0.250 0.724 Br
0.390 0.750 0.608 Br
0.610 0.250 0.392 Br
0.892 0.750 0.276 Br
```

Top 10 peaks for 2θ = 5–70°, by angle:
- 2θ = 12.9°, d = 6.865 Å, intensity 26
- 2θ = 20.9°, d = 4.254 Å, intensity 44
- 2θ = 24.7°, d = 3.598 Å, intensity 52
- 2θ = 27.0°, d = 3.298 Å, intensity 93
- 2θ = 28.9°, d = 3.086 Å, intensity 100
- 2θ = 30.3°, d = 2.948 Å, intensity 40
- 2θ = 33.0°, d = 2.710 Å, intensity 27
- 2θ = 41.1°, d = 2.197 Å, intensity 56
- 2θ = 42.5°, d = 2.127 Å, intensity 51
- 2θ = 46.9°, d = 1.938 Å, intensity 30

***

No. 11
Diffraction record for Tl2CuIBr3. The powder diffractogram is computed, not measured: it uses the GGA-PBE geometry in Alexandria and Cu Kα (weighted mean of Kα1 and Kα2).

Cell and atoms:
```
Tl2CuIBr3
1.0
5.470 0.000 0.000
0.000 5.494 0.000
0.000 0.000 15.858
Tl Cu I Br
4 2 2 6
Direct
0.000 0.000 0.138 Tl
0.000 0.000 0.862 Tl
0.500 0.500 0.362 Tl
0.500 0.500 0.638 Tl
0.000 0.000 0.500 Cu
0.500 0.500 0.000 Cu
0.000 0.500 0.000 I
0.500 0.000 0.500 I
0.000 0.000 0.343 Br
0.000 0.000 0.657 Br
0.000 0.500 0.500 Br
0.500 0.000 0.000 Br
0.500 0.500 0.157 Br
0.500 0.500 0.843 Br
```

Top 10 peaks for 2θ = 5–70°, by angle:
- 2θ = 22.9°, d = 3.876 Å, intensity 54
- 2θ = 23.4°, d = 3.806 Å, intensity 36
- 2θ = 25.6°, d = 3.482 Å, intensity 34
- 2θ = 32.3°, d = 2.772 Å, intensity 100
- 2θ = 32.6°, d = 2.747 Å, intensity 60
- 2θ = 32.7°, d = 2.735 Å, intensity 43
- 2θ = 33.9°, d = 2.643 Å, intensity 22
- 2θ = 46.9°, d = 1.938 Å, intensity 43
- 2θ = 58.0°, d = 1.591 Å, intensity 19
- 2θ = 58.2°, d = 1.586 Å, intensity 21

***

No. 12
Diffraction record for Na2InCuBr6. The powder diffractogram is computed, not measured: it uses the GGA-PBE geometry in Alexandria and Cu Kα (weighted mean of Kα1 and Kα2).

Cell and atoms:
```
Na2InCuBr6
1.0
0.000 5.344 5.344
5.344 0.000 5.344
5.344 5.344 0.000
Na In Cu Br
2 1 1 6
Direct
0.250 0.250 0.250 Na
0.750 0.750 0.750 Na
0.000 0.000 0.000 In
0.500 0.500 0.500 Cu
0.255 0.255 0.745 Br
0.255 0.745 0.255 Br
0.255 0.745 0.745 Br
0.745 0.255 0.255 Br
0.745 0.255 0.745 Br
0.745 0.745 0.255 Br
```

Top 10 peaks for 2θ = 5–70°, by angle:
- 2θ = 16.6°, d = 5.344 Å, intensity 99
- 2θ = 23.5°, d = 3.779 Å, intensity 5
- 2θ = 28.9°, d = 3.085 Å, intensity 47
- 2θ = 33.5°, d = 2.672 Å, intensity 100
- 2θ = 37.6°, d = 2.390 Å, intensity 50
- 2θ = 48.2°, d = 1.889 Å, intensity 70
- 2θ = 51.3°, d = 1.781 Å, intensity 25
- 2θ = 57.2°, d = 1.611 Å, intensity 19
- 2θ = 60.0°, d = 1.543 Å, intensity 23
- 2θ = 62.7°, d = 1.482 Å, intensity 11

***

Please write out number 6 again, unchanged.
Diffraction record for NaCuIBr. The powder diffractogram is computed, not measured: it uses the GGA-PBE geometry in Alexandria and Cu Kα (weighted mean of Kα1 and Kα2).

Cell and atoms:
```
NaCuIBr
1.0
4.472 0.000 0.000
0.000 4.334 0.000
-0.057 0.000 6.611
Na Cu I Br
1 1 1 1
Direct
0.000 0.000 0.000 Na
0.507 0.500 0.467 Cu
0.010 0.500 0.672 I
0.504 0.000 0.261 Br
```

Top 10 peaks for 2θ = 5–70°, by angle:
- 2θ = 13.4°, d = 6.611 Å, intensity 45
- 2θ = 23.9°, d = 3.719 Å, intensity 44
- 2θ = 24.1°, d = 3.689 Å, intensity 44
- 2θ = 24.6°, d = 3.625 Å, intensity 100
- 2θ = 28.7°, d = 3.112 Å, intensity 16
- 2θ = 39.7°, d = 2.273 Å, intensity 37
- 2θ = 39.9°, d = 2.259 Å, intensity 37
- 2θ = 40.3°, d = 2.236 Å, intensity 22
- 2θ = 41.7°, d = 2.167 Å, intensity 20
- 2θ = 59.4°, d = 1.556 Å, intensity 16